Starting from a structure optimized by DFT (GGA-PBE), the PXRD pattern of TbAl2GaCo2 was simulated for Cu Kα, 1.54184 Å.
Kinematic intensities with the Lorentz-polarization factor, no thermal factor.

Atomic structure:
Unit cell a=4.346 b=4.346 c=5.571 alpha=90.00 beta=90.00 gamma=90.00
Space group P4/mmm (No. 123)
One atom of each set of equivalent atoms:
Tb (0.000, 0.000, 0.000) [1 per cell]
Al (0.500, 0.500, 0.251) [2 per cell]
Ga (0.000, 0.000, 0.500) [1 per cell]
Co (0.000, 0.500, 0.500) [2 per cell]

Peak list (10 most intense, 2θ from 15° to 90°, most intense first)
(1 0 2), 2θ = 38.4°, rel. 100.0
(1 0 0), 2θ = 20.4°, rel. 93.4
(2 0 0), 2θ = 41.6°, rel. 82.0
(1 1 1), 2θ = 33.3°, rel. 78.9
(2 1 2), 2θ = 57.8°, rel. 59.8
(0 0 2), 2θ = 32.1°, rel. 45.4
(2 0 2), 2θ = 53.5°, rel. 41.7
(1 1 0), 2θ = 29.1°, rel. 33.3
(2 2 0), 2θ = 60.2°, rel. 26.5
(1 0 1), 2θ = 26.0°, rel. 24.0



Starting from a structure optimized by DFT (GGA-PBE), the PXRD pattern of Zr2AlGa2Co5 was simulated for Cu Kα, 1.54184 Å.
Kinematic intensities with the Lorentz-polarization factor, no thermal factor.

Atomic structure:
Unit cell a=9.148 b=9.148 c=3.354 alpha=90.00 beta=90.00 gamma=90.00
Space group P4/mbm (No. 127)
One atom of each set of equivalent atoms:
Zr (0.174, 0.326, 0.000) [4 per cell]
Al (0.000, 0.000, 0.000) [2 per cell]
Ga (0.124, 0.624, 0.000) [4 per cell]
Co (0.000, 0.500, 0.500) [2 per cell]
Co (0.060, 0.796, 0.500) [8 per cell]

Peak list (10 most intense, 2θ from 15° to 90°, most intense first)
(3 1 1), 2θ = 41.2°, rel. 100.0
(4 1 0), 2θ = 40.7°, rel. 51.9
(3 2 1), 2θ = 44.8°, rel. 45.5
(3 3 0), 2θ = 41.9°, rel. 31.6
(4 0 1), 2θ = 48.2°, rel. 27.8
(0 0 2), 2θ = 54.7°, rel. 23.0
(2 2 1), 2θ = 38.7°, rel. 18.7
(4 1 2), 2θ = 70.4°, rel. 18.7
(2 0 1), 2θ = 33.1°, rel. 14.6
(2 1 1), 2θ = 34.6°, rel. 12.7



Starting from a structure optimized by DFT (GGA-PBE), the PXRD pattern of Gd2Al4CoGe2 was simulated for Cu Kα, 1.54184 Å.
Kinematic intensities with the Lorentz-polarization factor, no thermal factor.

Atomic structure:
Unit cell a=4.151 b=4.151 c=19.650 alpha=90.00 beta=90.00 gamma=90.00
Space group I4/mmm (No. 139)
One atom of each set of equivalent atoms:
Gd (0.000, 0.000, 0.183) [4 per cell]
Al (0.000, 0.500, 0.065) [8 per cell]
Co (0.000, 0.000, 0.000) [2 per cell]
Ge (0.000, 0.000, 0.338) [4 per cell]

Peak list (10 most intense, 2θ from 15° to 90°, most intense first)
(1 1 6), 2θ = 41.3°, rel. 100.0
(1 1 0), 2θ = 30.5°, rel. 66.4
(2 0 0), 2θ = 43.6°, rel. 57.3
(1 1 2), 2θ = 31.8°, rel. 57.0
(1 0 5), 2θ = 31.3°, rel. 54.3
(0 0 6), 2θ = 27.2°, rel. 36.4
(3 1 6), 2θ = 78.5°, rel. 29.6
(2 0 6), 2θ = 52.2°, rel. 24.1
(2 1 5), 2θ = 54.7°, rel. 22.3
(1 0 1), 2θ = 21.9°, rel. 21.2



Starting from a structure optimized by DFT (GGA-PBE), the PXRD pattern of Al3Co3Ge was simulated for Cu Kα, 1.54184 Å.
Kinematic intensities with the Lorentz-polarization factor, no thermal factor.

Atomic structure:
Unit cell a=7.9993 b=7.9993 c=4.9646 alpha=90.00 beta=90.00 gamma=120.00
Space group R-3m (No. 166, hexagonal axes)
One atom of each set of equivalent atoms:
Al (0.0000, 0.5000, 0.0000) [9 per cell]
Co (0.0000, 0.5000, 0.5000) [9 per cell]
Ge (0.0000, 0.0000, 0.0000) [3 per cell]

Peak list (10 most intense, 2θ from 15° to 90°, most intense first)
(2 0 2), 2θ = 44.9°, rel. 100.0
(2 2 0), 2θ = 45.3°, rel. 97.2
(1 0 1), 2θ = 22.0°, rel. 70.4
(2 1 1), 2θ = 38.9°, rel. 32.1
(0 4 2), 2θ = 65.7°, rel. 30.2
(4 2 2), 2θ = 83.5°, rel. 30.0
(0 2 4), 2θ = 82.6°, rel. 15.4
(6 0 0), 2θ = 83.8°, rel. 14.9
(1 3 1), 2θ = 51.0°, rel. 14.2
(1 1 3), 2θ = 60.6°, rel. 8.2